(1)
Diffraction record for Ba6Pt7. The powder diffraction line list is calculated, not measured: it uses the GGA-PBE geometry in Alexandria and λ = 1.5418 Å (Cu Kα).
No peak broadening, texture or thermal motion is included.

Atomic structure:
Unit cell a=13.6916 b=13.6916 c=13.6916 alpha=24.06 beta=24.06 gamma=24.06
Fractional coordinates of all 13 atoms:
Ba (0.0672, 0.0672, 0.0672)
Ba (0.1529, 0.1529, 0.1529)
Ba (0.3692, 0.3692, 0.3692)
Ba (0.6308, 0.6308, 0.6308)
Ba (0.8471, 0.8471, 0.8471)
Ba (0.9328, 0.9328, 0.9328)
Pt (0.1049, 0.6085, 0.6085)
Pt (0.3915, 0.3915, 0.8951)
Pt (0.3915, 0.8951, 0.3915)
Pt (0.5000, 0.5000, 0.5000)
Pt (0.6085, 0.1049, 0.6085)
Pt (0.6085, 0.6085, 0.1049)
Pt (0.8951, 0.3915, 0.3915)

Principal peaks in the range 2θ from 10° to 80°, low angle first:
d/Å  2θ (°)  I_rel
2.467  36.4  54.9
2.399  37.5  100.0
2.361  38.1  37.7
2.214  40.7  26.2
1.427  65.4  21.9
1.419  65.8  25.0

(2)
Diffraction record for Al5Ag7. The powder diffraction line list is calculated, not measured: it uses the GGA-PBE geometry in Alexandria and λ = 1.5418 Å (Cu Kα).
No peak broadening, texture or thermal motion is included.

Atomic structure:
Unit cell a=5.6840 b=5.9232 c=6.3864 alpha=103.57 beta=102.28 gamma=90.04
Fractional coordinates of all 12 atoms:
Al (0.0000, 0.0000, 0.0000)
Al (0.1777, 0.1698, 0.6698)
Al (0.1800, 0.6655, 0.6723)
Al (0.8200, 0.3345, 0.3277)
Al (0.8223, 0.8302, 0.3302)
Ag (0.0000, 0.5000, 0.0000)
Ag (0.3125, 0.8388, 0.3443)
Ag (0.3142, 0.3330, 0.3434)
Ag (0.5000, 0.0000, 0.0000)
Ag (0.5000, 0.5000, 0.0000)
Ag (0.6858, 0.6670, 0.6566)
Ag (0.6875, 0.1612, 0.6557)

Principal peaks in the range 2θ from 10° to 80°, low angle first:
d/Å  2θ (°)  I_rel
2.392  37.6  82.2
2.385  37.7  81.5
2.335  38.6  75.4
2.313  38.9  69.5
2.050  44.2  100.0
2.019  44.9  48.1